Theoretical PXRD pattern of Dy4Er3Te2Ir2 for Cu Kα (λ = 1.5418 Å), from DFT lattice parameters and positions (PBE).

Principal peaks in the range 15° ≤ 2θ ≤ 90°, most intense first:
2θ/deg	I (rel.)
33.67	1000
34.31	458
33.26	432
30.17	363
46.26	325
38.44	251
36.63	217
58.15	175
30.01	173
77.59	133

```
Dy4Er3Te2Ir2
1.0
-1.963 7.845 4.715
1.963 -7.845 4.715
1.963 7.845 -4.715
Dy Er Te Ir
4 3 2 2
Direct
0.146 0.000 0.146
0.456 0.640 0.816
0.824 0.640 0.184
0.854 0.000 0.854
0.219 0.850 0.368
0.482 0.850 0.632
0.768 0.268 0.500
0.106 0.606 0.500
0.503 0.503 0.000
0.078 0.339 0.739
0.600 0.339 0.261
```

***

Theoretical PXRD pattern of NaHgBiTe3 for Cu Kα (λ = 1.5418 Å), from DFT lattice parameters and positions (PBE).

Principal peaks in the range 15° ≤ 2θ ≤ 90°, most intense first:
2θ/deg	I (rel.)
30.84	1000
39.86	628
27.90	513
30.02	410
50.69	289
43.25	264
26.85	252
32.46	231
57.65	228
39.61	216

```
NaHgBiTe3
1.0
2.260 -7.340 0.000
2.260 7.340 0.000
0.000 0.000 11.905
Na Hg Bi Te
2 2 2 6
Direct
0.247 0.753 0.750
0.753 0.247 0.250
0.452 0.548 0.250
0.548 0.452 0.750
0.000 0.000 0.000
0.000 0.000 0.500
0.084 0.916 0.250
0.352 0.648 0.047
0.352 0.648 0.453
0.648 0.352 0.547
0.648 0.352 0.953
0.916 0.084 0.750
```

***

Theoretical PXRD pattern of LaPrCo2Sn4 for Cu Kα (λ = 1.5418 Å), from DFT lattice parameters and positions (PBE).

Principal peaks in the range 15° ≤ 2θ ≤ 90°, most intense first:
2θ/deg	I (rel.)
31.55	1000
40.00	238
39.48	224
35.51	221
57.46	170
54.55	129
67.40	117
66.67	103
49.36	98
64.96	88

```
LaPrCo2Sn4
1.0
4.566 0.000 0.000
0.000 4.508 0.000
0.000 0.000 18.213
La Pr Co Sn
2 2 4 8
Direct
0.000 0.000 0.000
0.000 0.500 0.500
0.500 0.000 0.778
0.500 0.500 0.278
0.000 0.000 0.206
0.000 0.500 0.706
0.500 0.000 0.571
0.500 0.500 0.071
0.000 0.000 0.340
0.000 0.000 0.639
0.000 0.500 0.139
0.000 0.500 0.840
0.500 0.000 0.140
0.500 0.000 0.437
0.500 0.500 0.640
0.500 0.500 0.937
```

***

Theoretical PXRD pattern of Dy2YCu4Si2Sn2 for Cu Kα (λ = 1.5418 Å), from DFT lattice parameters and positions (PBE).

Principal peaks in the range 15° ≤ 2θ ≤ 90°, most intense first:
2θ/deg	I (rel.)
35.22	1000
34.69	611
41.79	328
34.05	314
39.10	303
26.92	182
54.96	162
80.40	136
72.06	124
45.24	117

```
Dy2YCu4Si2Sn2
1.0
-2.161 3.312 7.173
2.161 -3.312 7.173
2.161 3.312 -7.173
Dy Y Cu Si Sn
2 1 4 2 2
Direct
0.124 0.124 0.000
0.876 0.876 0.000
0.500 0.000 0.500
0.155 0.346 0.809
0.463 0.654 0.809
0.537 0.346 0.191
0.845 0.654 0.191
0.182 0.500 0.682
0.818 0.500 0.318
0.282 0.782 0.500
0.718 0.218 0.500
```

***

Theoretical PXRD pattern of ZrB4Pt for Cu Kα (λ = 1.5418 Å), from DFT lattice parameters and positions (PBE).

Principal peaks in the range 15° ≤ 2θ ≤ 90°, most intense first:
2θ/deg	I (rel.)
41.34	1000
23.49	769
33.52	748
42.47	489
34.86	314
59.86	291
20.87	288
66.93	187
75.42	177
48.06	177

```
ZrB4Pt
1.0
3.128 0.000 0.000
0.000 5.147 0.000
0.000 0.000 7.573
Zr B Pt
2 8 2
Direct
0.000 0.000 0.000
0.500 0.500 0.500
0.000 0.315 0.269
0.000 0.315 0.731
0.000 0.685 0.269
0.000 0.685 0.731
0.500 0.185 0.231
0.500 0.185 0.769
0.500 0.815 0.231
0.500 0.815 0.769
0.000 0.000 0.500
0.500 0.500 0.000
```

***

Theoretical PXRD pattern of AgP15 for Cu Kα (λ = 1.5418 Å), from DFT lattice parameters and positions (PBE).

Principal peaks in the range 15° ≤ 2θ ≤ 90°, most intense first:
2θ/deg	I (rel.)
16.06	1000
28.08	885
29.13	760
34.72	693
21.33	691
35.24	618
31.66	468
43.30	387
51.96	383
52.51	327

```
AgP15
1.0
7.175 0.000 0.000
-2.719 8.693 0.000
-1.380 -2.682 10.992
Ag P
2 30
Direct
0.156 0.278 0.493
0.844 0.722 0.507
0.042 0.835 0.350
0.050 0.452 0.220
0.106 0.234 0.845
0.120 0.657 0.649
0.166 0.829 0.075
0.185 0.493 0.896
0.200 0.078 0.154
0.237 0.684 0.340
0.268 0.079 0.352
0.289 0.885 0.782
0.353 0.553 0.618
0.401 0.777 0.204
0.451 0.563 0.808
0.460 0.999 0.656
0.487 0.184 0.102
0.513 0.816 0.898
0.540 0.001 0.344
0.549 0.437 0.192
0.599 0.223 0.796
0.647 0.447 0.382
0.711 0.115 0.218
0.732 0.921 0.648
0.763 0.316 0.660
0.800 0.922 0.846
0.815 0.507 0.104
0.834 0.171 0.925
0.880 0.343 0.351
0.894 0.766 0.155
0.950 0.548 0.780
0.958 0.165 0.650
```